Record 1
HoErTm2Tl2: calculated powder X-ray diffraction pattern (Cu Kα (weighted mean of Kα1 and Kα2)), based on the GGA-PBE geometry in Alexandria.

Main lines, most intense first (10° ≤ 2θ ≤ 90°):
two_theta	I/Imax
32.51	100
33.17	82
31.87	63
35.66	60
35.18	37
38.15	26
60.76	25
32.08	23
53.21	20
30.20	20

Structural model:
a b c (Å): 5.036 9.871 6.766
angles (deg): 90.00 90.00 90.00
Fractional positions:
Ho  0.000  0.042  0.000
Ho  0.000  0.958  0.500
Er  0.500  0.189  0.717
Er  0.500  0.811  0.217
Tm  0.000  0.313  0.376
Tm  0.000  0.687  0.876
Tm  0.500  0.458  0.093
Tm  0.500  0.542  0.593
Tl  0.000  0.368  0.839
Tl  0.000  0.632  0.339
Tl  0.500  0.134  0.254
Tl  0.500  0.866  0.754

Record 2
Th4ZnRu: calculated powder X-ray diffraction pattern (Cu Kα (weighted mean of Kα1 and Kα2)), based on the GGA-PBE geometry in Alexandria.

Main lines, most intense first (10° ≤ 2θ ≤ 90°):
two_theta	I/Imax
31.24	100
39.12	24
53.71	23
38.85	20
62.30	17
54.13	17
29.72	16
34.55	15
71.53	10
59.36	8

Structural model:
a b c (Å): 7.281 7.281 6.011
angles (deg): 90.00 90.00 90.00
Fractional positions:
Th  0.151  0.326  0.000
Th  0.151  0.674  0.500
Th  0.326  0.151  0.500
Th  0.326  0.849  0.000
Th  0.674  0.151  0.000
Th  0.674  0.849  0.500
Th  0.849  0.326  0.500
Th  0.849  0.674  0.000
Zn  0.500  0.500  0.250
Zn  0.500  0.500  0.750
Ru  0.000  0.000  0.250
Ru  0.000  0.000  0.750

Record 3
Ho2PaCrC4: calculated powder X-ray diffraction pattern (Cu Kα (weighted mean of Kα1 and Kα2)), based on the GGA-PBE geometry in Alexandria.

Main lines, most intense first (10° ≤ 2θ ≤ 90°):
two_theta	I/Imax
31.05	100
27.21	53
35.89	32
38.27	30
29.92	25
52.40	21
47.03	18
50.04	16
56.20	13
63.09	12

Structural model:
a b c (Å): 6.018 6.018 11.946
angles (deg): 90.00 90.00 146.92
Fractional positions:
Ho  0.131  0.869  0.544
Ho  0.131  0.869  0.956
Ho  0.869  0.131  0.044
Ho  0.869  0.131  0.456
Pa  0.407  0.593  0.750
Pa  0.593  0.407  0.250
Cr  0.329  0.671  0.250
Cr  0.671  0.329  0.750
C  0.072  0.928  0.750
C  0.226  0.774  0.138
C  0.226  0.774  0.362
C  0.500  0.500  0.000
C  0.500  0.500  0.500
C  0.774  0.226  0.638
C  0.774  0.226  0.862
C  0.928  0.072  0.250

Record 4
Ca2Nd2Hg3: calculated powder X-ray diffraction pattern (Cu Kα (weighted mean of Kα1 and Kα2)), based on the GGA-PBE geometry in Alexandria.

Main lines, most intense first (10° ≤ 2θ ≤ 90°):
two_theta	I/Imax
33.58	100
60.01	28
19.48	25
48.23	18
46.21	11
20.38	9
30.83	9
60.18	9
80.41	8
80.55	8

Structural model:
a b c (Å): 9.226 9.226 9.226
angles (deg): 33.67 33.67 33.67
Fractional positions:
Ca  0.126  0.126  0.126
Ca  0.874  0.874  0.874
Nd  0.376  0.376  0.376
Nd  0.624  0.624  0.624
Hg  0.254  0.254  0.254
Hg  0.500  0.500  0.500
Hg  0.746  0.746  0.746

Record 5
La2CeTmP4: calculated powder X-ray diffraction pattern (Cu Kα (weighted mean of Kα1 and Kα2)), based on the GGA-PBE geometry in Alexandria.

Main lines, most intense first (10° ≤ 2θ ≤ 90°):
two_theta	I/Imax
30.51	100
26.32	60
43.64	49
43.79	24
26.41	20
51.78	20
51.67	17
71.99	16
54.24	13
80.35	12

Structural model:
a b c (Å): 7.156 4.144 7.192
angles (deg): 90.00 109.39 90.00
Fractional positions:
La  0.000  0.000  0.000
La  0.500  0.500  0.000
Ce  0.000  0.500  0.500
Tm  0.500  0.000  0.500
P  0.247  0.000  0.735
P  0.257  0.500  0.267
P  0.743  0.500  0.733
P  0.753  0.000  0.265

Record 6
PuPaAs2N: calculated powder X-ray diffraction pattern (Cu Kα (weighted mean of Kα1 and Kα2)), based on the GGA-PBE geometry in Alexandria.

Main lines, most intense first (10° ≤ 2θ ≤ 90°):
two_theta	I/Imax
31.89	100
25.86	83
41.36	49
45.73	44
25.64	37
34.31	34
53.28	25
39.59	22
53.16	21
12.74	20

Structural model:
a b c (Å): 3.968 3.968 13.897
angles (deg): 90.00 90.00 90.00
Fractional positions:
Pu  0.250  0.250  0.115
Pu  0.750  0.750  0.885
Pa  0.250  0.250  0.585
Pa  0.750  0.750  0.415
As  0.250  0.250  0.316
As  0.250  0.250  0.906
As  0.750  0.750  0.094
As  0.750  0.750  0.684
N  0.250  0.750  0.500
N  0.750  0.250  0.500

Record 7
SrTlMo: calculated powder X-ray diffraction pattern (Cu Kα (weighted mean of Kα1 and Kα2)), based on the GGA-PBE geometry in Alexandria.

Main lines, most intense first (10° ≤ 2θ ≤ 90°):
two_theta	I/Imax
33.88	100
40.82	31
11.88	28
69.90	24
55.66	21
36.16	18
63.58	11
29.19	11
59.10	10
71.29	10

Structural model:
a b c (Å): 7.773 7.773 7.773
angles (deg): 156.80 156.80 33.05
Fractional positions:
Sr  0.000  0.000  0.000
Tl  0.313  0.313  0.000
Mo  0.670  0.670  0.000

Record 8
BaTlAg2Hg: calculated powder X-ray diffraction pattern (Cu Kα (weighted mean of Kα1 and Kα2)), based on the GGA-PBE geometry in Alexandria.

Main lines, most intense first (10° ≤ 2θ ≤ 90°):
two_theta	I/Imax
30.30	100
38.91	41
28.14	41
39.80	35
38.25	29
38.55	28
55.43	19
56.59	15
20.08	15
48.18	13

Structural model:
a b c (Å): 7.266 7.266 7.266
angles (deg): 142.50 142.21 54.29
Fractional positions:
Ba  0.000  0.000  0.000
Tl  0.241  0.741  0.500
Ag  0.611  0.611  0.000
Ag  0.747  0.247  0.500
Hg  0.392  0.392  0.000

Record 9
Pa3Ge2Se3: calculated powder X-ray diffraction pattern (Cu Kα (weighted mean of Kα1 and Kα2)), based on the GGA-PBE geometry in Alexandria.

Main lines, most intense first (10° ≤ 2θ ≤ 90°):
two_theta	I/Imax
35.71	100
35.30	94
25.87	92
38.09	83
46.31	44
20.39	42
31.81	42
53.19	33
48.57	33
67.83	29

Structural model:
a b c (Å): 8.709 8.709 5.626
angles (deg): 90.00 90.00 120.00
Fractional positions:
Pa  0.000  0.379  0.250
Pa  0.000  0.621  0.750
Pa  0.379  0.000  0.250
Pa  0.379  0.379  0.750
Pa  0.621  0.000  0.750
Pa  0.621  0.621  0.250
Ge  0.333  0.667  0.000
Ge  0.333  0.667  0.500
Ge  0.667  0.333  0.000
Ge  0.667  0.333  0.500
Se  0.000  0.266  0.750
Se  0.000  0.734  0.250
Se  0.266  0.000  0.750
Se  0.266  0.266  0.250
Se  0.734  0.000  0.250
Se  0.734  0.734  0.750

Record 10
Ti3CdIn: calculated powder X-ray diffraction pattern (Cu Kα (weighted mean of Kα1 and Kα2)), based on the GGA-PBE geometry in Alexandria.

Main lines, most intense first (10° ≤ 2θ ≤ 90°):
two_theta	I/Imax
35.93	100
37.50	88
37.15	85
36.73	75
34.17	55
44.91	45
43.01	43
40.10	42
25.92	38
18.82	37

Structural model:
a b c (Å): 7.340 2.845 10.000
angles (deg): 90.00 110.52 90.00
Fractional positions:
Ti  0.000  0.000  0.000
Ti  0.000  0.000  0.500
Ti  0.365  0.000  0.111
Ti  0.399  0.000  0.592
Ti  0.601  0.000  0.408
Ti  0.635  0.000  0.889
Cd  0.220  0.000  0.805
Cd  0.780  0.000  0.195
In  0.202  0.500  0.308
In  0.798  0.500  0.692

Record 11
K2BaIO6: calculated powder X-ray diffraction pattern (Cu Kα (weighted mean of Kα1 and Kα2)), based on the GGA-PBE geometry in Alexandria.

Main lines, most intense first (10° ≤ 2θ ≤ 90°):
two_theta	I/Imax
28.23	100
19.86	53
40.34	31
50.00	29
45.33	14
49.85	10
66.14	10
66.02	9
58.46	9
58.29	9

Structural model:
a b c (Å): 6.329 6.318 10.934
angles (deg): 90.00 125.12 90.00
Fractional positions:
K  0.246  0.016  0.249
K  0.246  0.484  0.749
K  0.754  0.516  0.251
K  0.754  0.984  0.751
Ba  0.500  0.000  0.000
Ba  0.500  0.500  0.500
I  0.000  0.000  0.500
I  0.000  0.500  0.000
O  0.152  0.236  0.471
O  0.152  0.264  0.971
O  0.209  0.685  0.975
O  0.209  0.815  0.475
O  0.261  0.012  0.709
O  0.261  0.488  0.209
O  0.739  0.512  0.791
O  0.739  0.988  0.291
O  0.791  0.185  0.525
O  0.791  0.315  0.025
O  0.848  0.736  0.029
O  0.848  0.764  0.529

Record 12
Er2MoN4: calculated powder X-ray diffraction pattern (Cu Kα (weighted mean of Kα1 and Kα2)), based on the GGA-PBE geometry in Alexandria.

Main lines, most intense first (10° ≤ 2θ ≤ 90°):
two_theta	I/Imax
22.12	100
30.21	99
32.71	71
32.43	70
40.58	66
39.88	61
45.11	38
24.76	31
36.14	31
42.31	25

Structural model:
a b c (Å): 5.742 5.917 6.475
angles (deg): 90.00 107.49 90.00
Fractional positions:
Er  0.165  0.250  0.027
Er  0.238  0.250  0.556
Er  0.762  0.750  0.444
Er  0.835  0.750  0.973
Mo  0.287  0.750  0.814
Mo  0.713  0.250  0.186
N  0.049  0.510  0.752
N  0.049  0.990  0.752
N  0.477  0.750  0.095
N  0.499  0.250  0.348
N  0.501  0.750  0.652
N  0.523  0.250  0.905
N  0.951  0.010  0.248
N  0.951  0.490  0.248

Record 13
RbLiY2S4: calculated powder X-ray diffraction pattern (Cu Kα (weighted mean of Kα1 and Kα2)), based on the GGA-PBE geometry in Alexandria.

Main lines, most intense first (10° ≤ 2θ ≤ 90°):
two_theta	I/Imax
23.05	100
30.19	87
32.19	69
26.16	56
39.60	47
44.43	33
43.99	32
44.67	31
29.49	29
44.26	24

Structural model:
a b c (Å): 7.122 7.122 14.032
angles (deg): 90.00 90.00 146.90
Fractional positions:
Rb  0.106  0.894  0.750
Rb  0.894  0.106  0.250
Li  0.170  0.830  0.250
Li  0.830  0.170  0.750
Y  0.366  0.634  0.561
Y  0.366  0.634  0.939
Y  0.634  0.366  0.061
Y  0.634  0.366  0.439
S  0.000  0.000  0.000
S  0.000  0.000  0.500
S  0.260  0.740  0.105
S  0.260  0.740  0.395
S  0.419  0.581  0.750
S  0.581  0.419  0.250
S  0.740  0.260  0.605
S  0.740  0.260  0.895